[1]
Diffraction record for La2Nd7YTl2. The powder diffraction line list is computed, not measured: it uses a cell relaxed with PBE and copper Kα.
No peak broadening, texture or thermal motion is included.

Main lines, in order of rising 2θ (2θ from 15° to 90°):
d/Å  2theta  Rel. int.
3.360  26.52  20
3.061  29.17  100
2.893  30.91  72
2.805  31.90  19
2.699  33.19  29
2.586  34.68  57
2.573  34.87  26
2.547  35.23  31
1.816  50.24  39
1.529  60.55  22
1.524  60.78  25
1.446  64.42  18

Crystal structure
```
data_La2Nd7YTl2
_chemical_formula_sum 'La2 Nd7 Y1 Tl2'
_cell_length_a 6.189
_cell_length_b 6.189
_cell_length_c 11.490
_cell_angle_alpha 90.00
_cell_angle_beta 90.00
_cell_angle_gamma 110.80
_symmetry_space_group_name_H-M 'P 1'
_symmetry_Int_Tables_number 1
loop_
_symmetry_equiv_pos_as_xyz
'x,y,z'
loop_
_atom_site_label
_atom_site_type_symbol
_atom_site_fract_x
_atom_site_fract_y
_atom_site_fract_z
La1 La 0.000 0.000 0.146
La2 La 0.000 0.000 0.854
Nd1 Nd 0.000 0.000 0.500
Nd2 Nd 0.000 0.500 0.334
Nd3 Nd 0.000 0.500 0.666
Nd4 Nd 0.319 0.681 0.000
Nd5 Nd 0.500 0.000 0.334
Nd6 Nd 0.500 0.000 0.666
Nd7 Nd 0.681 0.319 0.000
Y1 Y 0.500 0.500 0.500
Tl1 Tl 0.500 0.500 0.229
Tl2 Tl 0.500 0.500 0.771
```



[2]
Diffraction record for Cu3GeAu2. The powder diffraction line list is computed, not measured: it uses a cell relaxed with PBE and copper Kα.
No peak broadening, texture or thermal motion is included.

Main lines, in order of rising 2θ (2θ from 15° to 90°):
d/Å  2theta  Rel. int.
4.467  19.87  25
3.227  27.65  34
2.673  33.53  16
2.446  36.74  42
2.374  37.90  19
2.234  40.38  26
2.199  41.04  40
2.188  41.26  25
2.167  41.69  100
1.927  47.17  25
1.843  49.46  17
1.327  71.04  21

Crystal structure
```
data_Cu3GeAu2
_chemical_formula_sum 'Cu6 Ge2 Au4'
_cell_length_a 7.597
_cell_length_b 7.597
_cell_length_c 7.597
_cell_angle_alpha 134.74
_cell_angle_beta 59.43
_cell_angle_gamma 143.59
_symmetry_space_group_name_H-M 'P 1'
_symmetry_Int_Tables_number 1
loop_
_symmetry_equiv_pos_as_xyz
'x,y,z'
loop_
_atom_site_label
_atom_site_type_symbol
_atom_site_fract_x
_atom_site_fract_y
_atom_site_fract_z
Cu1 Cu 0.215 0.965 0.250
Cu2 Cu 0.319 0.243 0.077
Cu3 Cu 0.334 0.757 0.577
Cu4 Cu 0.666 0.243 0.423
Cu5 Cu 0.681 0.757 0.923
Cu6 Cu 0.785 0.035 0.750
Ge1 Ge 0.290 0.540 0.750
Ge2 Ge 0.710 0.460 0.250
Au1 Au 0.157 0.000 0.657
Au2 Au 0.157 0.500 0.157
Au3 Au 0.843 0.000 0.343
Au4 Au 0.843 0.500 0.843
```